MgNiTe4O12: calculated PXRD pattern (Cu Ka), based on the GGA+U geometry in the Materials Project.

Largest 6 diffraction maxima, in order of rising 2θ, 2θ from 10° to 90°:
d 3.907, 2θ = 22.8°, rel. 48, (1 -1 0); d 3.878, 2θ = 22.9°, rel. 100, (1 1 0); d 2.833, 2θ = 31.6°, rel. 49, (1 1 -2); d 2.662, 2θ = 33.7°, rel. 21, (1 1 2); d 2.641, 2θ = 33.9°, rel. 21, (2 0 0); d 1.778, 2θ = 51.4°, rel. 32, (2 2 -2)

Cell and atoms:
```
data_MgNiTe4O12
_chemical_formula_sum 'Mg1 Ni1 Te4 O12'
_cell_length_a 5.283
_cell_length_b 5.786
_cell_length_c 7.778
_cell_angle_alpha 95.13
_cell_angle_beta 90.00
_cell_angle_gamma 90.37
_symmetry_space_group_name_H-M 'P 1'
_symmetry_Int_Tables_number 1
loop_
_symmetry_equiv_pos_as_xyz
'x,y,z'
loop_
_atom_site_label
_atom_site_fract_x
_atom_site_fract_y
_atom_site_fract_z
_atom_site_occupancy
Mg1 0.000 0.000 0.000 1
Ni1 0.510 0.747 0.407 1
Te1 0.011 0.606 0.215 1
Te2 0.016 0.559 0.709 1
Te3 0.495 0.150 0.227 1
Te4 0.508 0.103 0.722 1
O1 0.155 0.291 0.141 1
O2 0.171 0.576 0.437 1
O3 0.213 0.946 0.794 1
O4 0.305 0.797 0.166 1
O5 0.331 0.402 0.768 1
O6 0.385 0.084 0.472 1
O7 0.659 0.126 0.953 1
O8 0.663 0.810 0.644 1
O9 0.694 0.459 0.297 1
O10 0.808 0.281 0.647 1
O11 0.826 0.896 0.272 1
O12 0.910 0.637 0.976 1
```

---

MgTi8Ni8O24: calculated PXRD pattern (Cu Ka), based on the GGA+U geometry in the Materials Project.

Largest 6 diffraction maxima, in order of rising 2θ, 2θ from 10° to 90°:
d 2.771, 2θ = 32.3°, rel. 72, (1 1 3); d 2.757, 2θ = 32.5°, rel. 34, (1 3 1); d 2.565, 2θ = 35.0°, rel. 100, (0 2 -2); d 2.555, 2θ = 35.1°, rel. 48, (-1 1 3); d 1.730, 2θ = 52.9°, rel. 48, (1 5 3); d 1.477, 2θ = 62.9°, rel. 42, (1 1 -5)

Cell and atoms:
```
data_MgTi8Ni8O24
_chemical_formula_sum 'Mg1 Ti8 Ni8 O24'
_cell_length_a 5.582
_cell_length_b 9.114
_cell_length_c 9.121
_cell_angle_alpha 68.45
_cell_angle_beta 84.41
_cell_angle_gamma 84.96
_symmetry_space_group_name_H-M 'P 1'
_symmetry_Int_Tables_number 1
loop_
_symmetry_equiv_pos_as_xyz
'x,y,z'
loop_
_atom_site_label
_atom_site_fract_x
_atom_site_fract_y
_atom_site_fract_z
_atom_site_occupancy
Mg1 0.000 0.000 0.000 1
Ti1 0.267 0.818 0.813 1
Ti2 0.387 0.991 0.468 1
Ti3 0.398 0.475 0.976 1
Ti4 0.613 0.911 0.910 1
Ti5 0.806 0.343 0.811 1
Ti6 0.827 0.821 0.333 1
Ti7 0.903 0.233 0.220 1
Ti8 0.919 0.473 0.463 1
Ni1 0.312 0.579 0.574 1
Ni2 0.316 0.329 0.332 1
Ni3 0.405 0.232 0.719 1
Ni4 0.406 0.726 0.241 1
Ni5 0.503 0.126 0.113 1
Ni6 0.800 0.080 0.574 1
Ni7 0.810 0.577 0.078 1
Ni8 0.889 0.722 0.719 1
O1 0.088 0.371 0.683 1
O2 0.100 0.859 0.208 1
O3 0.110 0.929 0.611 1
O4 0.118 0.428 0.118 1
O5 0.247 0.125 0.285 1
O6 0.251 0.524 0.384 1
O7 0.262 0.615 0.784 1
O8 0.291 0.013 0.861 1
O9 0.442 0.305 0.913 1
O10 0.453 0.693 0.012 1
O11 0.457 0.169 0.527 1
O12 0.467 0.796 0.434 1
O13 0.593 0.874 0.693 1
O14 0.623 0.374 0.178 1
O15 0.630 0.430 0.619 1
O16 0.643 0.914 0.116 1
O17 0.753 0.520 0.871 1
O18 0.763 0.112 0.798 1
O19 0.763 0.619 0.291 1
O20 0.767 0.033 0.360 1
O21 0.906 0.204 0.027 1
O22 0.938 0.790 0.922 1
O23 0.942 0.285 0.424 1
O24 0.951 0.681 0.520 1
```

---

MgTi8Ni8O24: calculated PXRD pattern (Cu Ka), based on the GGA+U geometry in the Materials Project.

Largest 6 diffraction maxima, in order of rising 2θ, 2θ from 10° to 90°:
d 3.755, 2θ = 23.7°, rel. 45, (1 -1 1); d 2.783, 2θ = 32.2°, rel. 100, (2 0 0); d 2.764, 2θ = 32.4°, rel. 49, (1 3 1); d 2.545, 2θ = 35.3°, rel. 100, (-1 3 1); d 2.531, 2θ = 35.5°, rel. 49, (0 2 -2); d 1.744, 2θ = 52.5°, rel. 61, (3 -1 1)

Cell and atoms:
```
data_MgTi8Ni8O24
_chemical_formula_sum 'Mg1 Ti8 Ni8 O24'
_cell_length_a 5.611
_cell_length_b 9.086
_cell_length_c 9.131
_cell_angle_alpha 67.53
_cell_angle_beta 83.75
_cell_angle_gamma 84.11
_symmetry_space_group_name_H-M 'P 1'
_symmetry_Int_Tables_number 1
loop_
_symmetry_equiv_pos_as_xyz
'x,y,z'
loop_
_atom_site_label
_atom_site_fract_x
_atom_site_fract_y
_atom_site_fract_z
_atom_site_occupancy
Mg1 0.000 0.000 0.000 1
Ti1 0.190 0.930 0.432 1
Ti2 0.199 0.423 0.933 1
Ti3 0.204 0.182 0.663 1
Ti4 0.295 0.579 0.562 1
Ti5 0.364 0.081 0.091 1
Ti6 0.656 0.910 0.896 1
Ti7 0.716 0.428 0.423 1
Ti8 0.791 0.583 0.065 1
Ni1 0.195 0.672 0.177 1
Ni2 0.281 0.810 0.817 1
Ni3 0.310 0.329 0.322 1
Ni4 0.695 0.669 0.670 1
Ni5 0.736 0.185 0.184 1
Ni6 0.795 0.075 0.572 1
Ni7 0.797 0.824 0.330 1
Ni8 0.799 0.328 0.819 1
O1 0.013 0.718 0.526 1
O2 0.030 0.214 0.025 1
O3 0.151 0.471 0.114 1
O4 0.159 0.374 0.711 1
O5 0.159 0.977 0.616 1
O6 0.170 0.893 0.204 1
O7 0.328 0.037 0.875 1
O8 0.337 0.606 0.778 1
O9 0.350 0.529 0.381 1
O10 0.355 0.115 0.286 1
O11 0.475 0.778 0.470 1
O12 0.489 0.223 0.534 1
O13 0.493 0.714 0.029 1
O14 0.495 0.286 0.970 1
O15 0.639 0.868 0.716 1
O16 0.650 0.472 0.611 1
O17 0.660 0.386 0.224 1
O18 0.673 0.969 0.111 1
O19 0.843 0.618 0.279 1
O20 0.848 0.111 0.789 1
O21 0.853 0.524 0.884 1
O22 0.865 0.022 0.376 1
O23 0.976 0.787 0.969 1
O24 0.992 0.285 0.476 1
```

---

MgTi8Ni8O24: calculated PXRD pattern (Cu Ka), based on the GGA+U geometry in the Materials Project.

Largest 6 diffraction maxima, in order of rising 2θ, 2θ from 10° to 90°:
d 2.810, 2θ = 31.8°, rel. 29, (2 0 0); d 2.776, 2θ = 32.2°, rel. 28, (1 1 3); d 2.760, 2θ = 32.4°, rel. 29, (1 3 1); d 2.552, 2θ = 35.2°, rel. 100, (-1 1 3); d 2.546, 2θ = 35.2°, rel. 47, (-1 3 1); d 1.748, 2θ = 52.3°, rel. 26, (2 0 4)

Cell and atoms:
```
data_MgTi8Ni8O24
_chemical_formula_sum 'Mg1 Ti8 Ni8 O24'
_cell_length_a 5.662
_cell_length_b 9.050
_cell_length_c 9.102
_cell_angle_alpha 68.37
_cell_angle_beta 84.14
_cell_angle_gamma 84.29
_symmetry_space_group_name_H-M 'P 1'
_symmetry_Int_Tables_number 1
loop_
_symmetry_equiv_pos_as_xyz
'x,y,z'
loop_
_atom_site_label
_atom_site_fract_x
_atom_site_fract_y
_atom_site_fract_z
_atom_site_occupancy
Mg1 0.000 0.000 0.000 1
Ti1 0.092 0.524 0.504 1
Ti2 0.157 0.179 0.662 1
Ti3 0.181 0.661 0.167 1
Ti4 0.428 0.856 0.854 1
Ti5 0.579 0.030 0.504 1
Ti6 0.592 0.497 0.013 1
Ti7 0.665 0.661 0.648 1
Ti8 0.731 0.158 0.188 1
Ni1 0.039 0.760 0.760 1
Ni2 0.102 0.272 0.265 1
Ni3 0.172 0.417 0.911 1
Ni4 0.185 0.908 0.414 1
Ni5 0.371 0.085 0.085 1
Ni6 0.581 0.763 0.258 1
Ni7 0.582 0.264 0.755 1
Ni8 0.685 0.420 0.410 1
O1 0.016 0.707 0.560 1
O2 0.042 0.316 0.469 1
O3 0.047 0.205 0.066 1
O4 0.095 0.800 0.955 1
O5 0.228 0.870 0.201 1
O6 0.229 0.373 0.700 1
O7 0.239 0.475 0.110 1
O8 0.247 0.966 0.641 1
O9 0.369 0.058 0.870 1
O10 0.373 0.563 0.365 1
O11 0.396 0.117 0.307 1
O12 0.396 0.635 0.804 1
O13 0.529 0.806 0.469 1
O14 0.535 0.211 0.554 1
O15 0.537 0.303 0.973 1
O16 0.542 0.705 0.047 1
O17 0.702 0.979 0.134 1
O18 0.704 0.867 0.706 1
O19 0.725 0.475 0.609 1
O20 0.730 0.376 0.203 1
O21 0.856 0.556 0.866 1
O22 0.891 0.059 0.382 1
O23 0.893 0.136 0.788 1
O24 0.898 0.620 0.302 1
```

---

MgTi8Ni8O24: calculated PXRD pattern (Cu Ka), based on the GGA+U geometry in the Materials Project.

Largest 6 diffraction maxima, in order of rising 2θ, 2θ from 10° to 90°:
d 3.745, 2θ = 23.8°, rel. 48, (1 1 -1); d 2.782, 2θ = 32.2°, rel. 34, (1 1 3); d 2.769, 2θ = 32.3°, rel. 66, (1 3 1); d 2.539, 2θ = 35.4°, rel. 100, (0 2 -2); d 1.737, 2θ = 52.7°, rel. 30, (1 5 3); d 1.466, 2θ = 63.5°, rel. 44, (1 1 -5)

Cell and atoms:
```
data_MgTi8Ni8O24
_chemical_formula_sum 'Mg1 Ti8 Ni8 O24'
_cell_length_a 5.587
_cell_length_b 9.093
_cell_length_c 9.129
_cell_angle_alpha 67.80
_cell_angle_beta 83.60
_cell_angle_gamma 83.85
_symmetry_space_group_name_H-M 'P 1'
_symmetry_Int_Tables_number 1
loop_
_symmetry_equiv_pos_as_xyz
'x,y,z'
loop_
_atom_site_label
_atom_site_fract_x
_atom_site_fract_y
_atom_site_fract_z
_atom_site_occupancy
Mg1 0.000 0.000 0.000 1
Ti1 0.208 0.178 0.670 1
Ti2 0.213 0.669 0.173 1
Ti3 0.289 0.576 0.572 1
Ti4 0.290 0.329 0.324 1
Ti5 0.294 0.816 0.805 1
Ti6 0.718 0.183 0.189 1
Ti7 0.781 0.341 0.818 1
Ti8 0.792 0.812 0.334 1
Ni1 0.194 0.420 0.929 1
Ni2 0.199 0.929 0.417 1
Ni3 0.347 0.083 0.085 1
Ni4 0.656 0.916 0.916 1
Ni5 0.704 0.675 0.676 1
Ni6 0.705 0.422 0.425 1
Ni7 0.795 0.071 0.581 1
Ni8 0.804 0.577 0.069 1
O1 0.007 0.719 0.521 1
O2 0.011 0.788 0.964 1
O3 0.016 0.276 0.471 1
O4 0.147 0.968 0.632 1
O5 0.149 0.374 0.712 1
O6 0.154 0.873 0.209 1
O7 0.156 0.468 0.133 1
O8 0.323 0.036 0.873 1
O9 0.327 0.628 0.769 1
O10 0.349 0.531 0.372 1
O11 0.368 0.135 0.280 1
O12 0.481 0.714 0.025 1
O13 0.487 0.221 0.533 1
O14 0.505 0.773 0.460 1
O15 0.522 0.282 0.973 1
O16 0.622 0.875 0.720 1
O17 0.643 0.465 0.631 1
O18 0.658 0.369 0.226 1
O19 0.679 0.966 0.131 1
O20 0.846 0.029 0.370 1
O21 0.847 0.516 0.876 1
O22 0.849 0.131 0.792 1
O23 0.853 0.634 0.277 1
O24 0.998 0.209 0.039 1
```

---

MgTi8Ni8O24: calculated PXRD pattern (Cu Ka), based on the GGA+U geometry in the Materials Project.

Largest 6 diffraction maxima, in order of rising 2θ, 2θ from 10° to 90°:
d 2.829, 2θ = 31.6°, rel. 100, (2 0 0); d 2.798, 2θ = 32.0°, rel. 76, (1 1 3); d 2.723, 2θ = 32.9°, rel. 88, (1 3 1); d 2.578, 2θ = 34.8°, rel. 58, (0 2 -2); d 2.563, 2θ = 35.0°, rel. 52, (-1 1 3); d 2.552, 2θ = 35.2°, rel. 62, (-1 3 1)

Cell and atoms:
```
data_MgTi8Ni8O24
_chemical_formula_sum 'Mg1 Ti8 Ni8 O24'
_cell_length_a 5.696
_cell_length_b 8.958
_cell_length_c 9.150
_cell_angle_alpha 69.45
_cell_angle_beta 83.93
_cell_angle_gamma 85.40
_symmetry_space_group_name_H-M 'P 1'
_symmetry_Int_Tables_number 1
loop_
_symmetry_equiv_pos_as_xyz
'x,y,z'
loop_
_atom_site_label
_atom_site_fract_x
_atom_site_fract_y
_atom_site_fract_z
_atom_site_occupancy
Mg1 0.000 0.000 0.000 1
Ti1 0.084 0.291 0.078 1
Ti2 0.106 0.538 0.324 1
Ti3 0.121 0.769 0.597 1
Ti4 0.200 0.416 0.726 1
Ti5 0.238 0.931 0.255 1
Ti6 0.597 0.765 0.094 1
Ti7 0.634 0.282 0.559 1
Ti8 0.701 0.920 0.737 1
Ni1 0.145 0.061 0.737 1
Ni2 0.207 0.677 0.979 1
Ni3 0.213 0.194 0.452 1
Ni4 0.609 0.527 0.826 1
Ni5 0.630 0.198 0.966 1
Ni6 0.642 0.028 0.340 1
Ni7 0.700 0.430 0.222 1
Ni8 0.713 0.680 0.486 1
O1 0.056 0.829 0.776 1
O2 0.060 0.341 0.260 1
O3 0.069 0.227 0.862 1
O4 0.075 0.732 0.382 1
O5 0.247 0.466 0.930 1
O6 0.248 0.394 0.521 1
O7 0.257 0.966 0.448 1
O8 0.263 0.862 0.070 1
O9 0.369 0.139 0.129 1
O10 0.394 0.639 0.630 1
O11 0.396 0.571 0.188 1
O12 0.469 0.072 0.676 1
O13 0.543 0.334 0.753 1
O14 0.560 0.232 0.377 1
O15 0.562 0.732 0.879 1
O16 0.570 0.828 0.277 1
O17 0.700 0.971 0.944 1
O18 0.761 0.372 0.023 1
O19 0.768 0.479 0.432 1
O20 0.768 0.874 0.547 1
O21 0.893 0.147 0.602 1
O22 0.895 0.651 0.128 1
O23 0.933 0.570 0.685 1
O24 0.939 0.063 0.188 1
```

---

MgTi8Ni8O24: calculated PXRD pattern (Cu Ka), based on the GGA+U geometry in the Materials Project.

Largest 6 diffraction maxima, in order of rising 2θ, 2θ from 10° to 90°:
d 2.825, 2θ = 31.7°, rel. 100, (1 1 3); d 2.782, 2θ = 32.2°, rel. 68, (2 0 0); d 2.730, 2θ = 32.8°, rel. 81, (1 3 1); d 2.587, 2θ = 34.7°, rel. 49, (-1 3 1); d 2.570, 2θ = 34.9°, rel. 41, (-1 1 3); d 2.566, 2θ = 35.0°, rel. 61, (0 2 -2)

Cell and atoms:
```
data_MgTi8Ni8O24
_chemical_formula_sum 'Mg1 Ti8 Ni8 O24'
_cell_length_a 5.602
_cell_length_b 9.097
_cell_length_c 9.275
_cell_angle_alpha 67.99
_cell_angle_beta 83.53
_cell_angle_gamma 86.07
_symmetry_space_group_name_H-M 'P 1'
_symmetry_Int_Tables_number 1
loop_
_symmetry_equiv_pos_as_xyz
'x,y,z'
loop_
_atom_site_label
_atom_site_fract_x
_atom_site_fract_y
_atom_site_fract_z
_atom_site_occupancy
Mg1 0.000 0.000 0.000 1
Ti1 0.354 0.275 0.827 1
Ti2 0.434 0.429 0.476 1
Ti3 0.479 0.909 0.956 1
Ti4 0.857 0.252 0.351 1
Ti5 0.870 0.753 0.819 1
Ti6 0.926 0.409 0.984 1
Ti7 0.961 0.658 0.225 1
Ti8 0.980 0.897 0.475 1
Ni1 0.351 0.513 0.073 1
Ni2 0.371 0.005 0.585 1
Ni3 0.375 0.761 0.326 1
Ni4 0.392 0.187 0.259 1
Ni5 0.462 0.660 0.721 1
Ni6 0.659 0.027 0.169 1
Ni7 0.848 0.514 0.579 1
Ni8 0.939 0.179 0.711 1
O1 0.003 0.719 0.419 1
O2 0.011 0.129 0.520 1
O3 0.113 0.322 0.183 1
O4 0.152 0.804 0.682 1
O5 0.165 0.368 0.620 1
O6 0.214 0.838 0.119 1
O7 0.291 0.042 0.797 1
O8 0.302 0.455 0.878 1
O9 0.305 0.544 0.287 1
O10 0.311 0.963 0.386 1
O11 0.464 0.118 0.002 1
O12 0.505 0.609 0.524 1
O13 0.513 0.225 0.440 1
O14 0.514 0.716 0.924 1
O15 0.629 0.313 0.681 1
O16 0.650 0.356 0.122 1
O17 0.690 0.858 0.622 1
O18 0.701 0.806 0.171 1
O19 0.804 0.957 0.855 1
O20 0.812 0.464 0.367 1
O21 0.817 0.552 0.787 1
O22 0.842 0.055 0.311 1
O23 0.994 0.232 0.917 1
O24 0.995 0.623 0.024 1
```